Theoretical powder diffraction line list of CoSnSeO for Cu Kα, 1.54184 Å, from DFT lattice parameters and positions (GGA+U).

Crystal structure
```
data_CoSnSeO
_chemical_formula_sum 'Co4 Sn4 Se4 O4'
_symmetry_space_group_name_H-M 'P n m a'
_symmetry_Int_Tables_number 62
_symmetry_space_group_name_Hall '-P 2ac 2n'
_cell_length_a 5.953
_cell_length_b 3.876
_cell_length_c 13.815
_cell_angle_alpha 90.00
_cell_angle_beta 90.00
_cell_angle_gamma 90.00
loop_
_atom_site_label
_atom_site_fract_x
_atom_site_fract_y
_atom_site_fract_z
Co1 0.121 0.250 0.203
Sn1 0.249 0.750 0.415
Se1 0.249 0.250 0.608
O1 0.212 0.750 0.824
```

Peak list (8 most intense, 5° ≤ 2θ ≤ 70°, low angle first)
| d_spacing | I_rel | h k l |
| --- | --- | --- |
| 3.454 | 19 | 0 0 4 |
| 2.977 | 41 | 2 0 0 |
| 2.965 | 100 | 0 1 3 |
| 2.327 | 19 | 2 1 1 |
| 2.254 | 18 | 2 0 4 |
| 2.101 | 51 | 2 1 3 |
| 1.938 | 21 | 0 2 0 |
| 1.625 | 19 | 2 2 0 |